1.
# ZrCo3H
Simulated powder X-ray diffraction pattern, Cu Kα, 1.54184 Å. Input: a crystal structure in Alexandria, relaxed with GGA-PBE.

Largest 10 diffraction maxima, low angle first, 10 to 90 degrees two-theta:
| 2theta | intensity |
| --- | --- |
| 39.24 | 64 |
| 41.76 | 87 |
| 42.56 | 67 |
| 43.51 | 58 |
| 44.45 | 90 |
| 44.91 | 100 |
| 58.26 | 24 |
| 68.69 | 27 |
| 78.79 | 18 |
| 87.16 | 18 |

Structure:
a = 5.4744 Å, b = 5.4744 Å, c = 4.3275 Å
α = 91.25°, β = 91.25°, γ = 57.02°
Positions (direct):
Zr: 0.1838 0.1838 0.2385
Zr: 0.8162 0.8162 0.7615
Co: 0.1807 0.6721 0.2470
Co: 0.3279 0.8193 0.7530
Co: 0.3515 0.3515 0.7565
Co: 0.6485 0.6485 0.2435
Co: 0.6721 0.1807 0.2470
Co: 0.8193 0.3279 0.7530
H: 0.0000 0.0000 0.5000
H: 0.5000 0.5000 0.5000


2.
# ZrCoH2
Simulated powder X-ray diffraction pattern, Cu Kα, 1.54184 Å. Input: a crystal structure in Alexandria, relaxed with GGA-PBE.

Largest 10 diffraction maxima, low angle first, 10 to 90 degrees two-theta:
| 2theta | intensity |
| --- | --- |
| 30.30 | 76 |
| 34.37 | 100 |
| 35.19 | 82 |
| 38.17 | 97 |
| 41.79 | 100 |
| 43.20 | 43 |
| 44.46 | 56 |
| 56.72 | 30 |
| 57.93 | 37 |
| 82.64 | 26 |

Structure:
a = 6.7931 Å, b = 5.5023 Å, c = 4.0753 Å
α = 90.00°, β = 90.00°, γ = 90.00°
Positions (direct):
Zr: 0.1747 0.1201 0.0000
Zr: 0.3253 0.6201 0.5000
Zr: 0.6747 0.3799 0.0000
Zr: 0.8253 0.8799 0.5000
Co: 0.0367 0.6615 0.0009
Co: 0.4633 0.1615 0.5009
Co: 0.5367 0.8385 0.0009
Co: 0.9633 0.3385 0.5009
H: 0.0281 0.6171 0.6060
H: 0.2148 0.2425 0.5038
H: 0.2852 0.7425 0.0038
H: 0.4719 0.1171 0.1060
H: 0.5281 0.8829 0.6060
H: 0.7148 0.2575 0.5038
H: 0.7852 0.7575 0.0038
H: 0.9719 0.3829 0.1060


3.
# ZrCo3H6
Simulated powder X-ray diffraction pattern, Cu Kα, 1.54184 Å. Input: a crystal structure in Alexandria, relaxed with GGA-PBE.

Largest 10 diffraction maxima, low angle first, 10 to 90 degrees two-theta:
| 2theta | intensity |
| --- | --- |
| 24.50 | 24 |
| 37.14 | 55 |
| 41.20 | 100 |
| 43.16 | 64 |
| 56.66 | 17 |
| 61.19 | 24 |
| 72.42 | 15 |
| 75.08 | 16 |
| 76.44 | 21 |
| 81.77 | 20 |

Structure:
a = 4.8950 Å, b = 4.8950 Å, c = 4.8950 Å
α = 53.19°, β = 53.19°, γ = 53.19°
Positions (direct):
Zr: 0.0000 0.0000 0.0000
Co: 0.2176 0.2176 0.2176
Co: 0.5643 0.5643 0.5643
Co: 0.7935 0.7935 0.7935
H: 0.1913 0.4315 0.7970
H: 0.4315 0.7970 0.1913
H: 0.4669 0.9893 0.4802
H: 0.4802 0.4669 0.9893
H: 0.7970 0.1913 0.4315
H: 0.9893 0.4801 0.4669


4.
# Zr3CoH4
Simulated powder X-ray diffraction pattern, Cu Kα, 1.54184 Å. Input: a crystal structure in Alexandria, relaxed with GGA-PBE.

Largest 10 diffraction maxima, low angle first, 10 to 90 degrees two-theta:
| 2theta | intensity |
| --- | --- |
| 34.01 | 51 |
| 34.14 | 58 |
| 35.30 | 100 |
| 38.20 | 95 |
| 48.96 | 34 |
| 56.81 | 18 |
| 61.87 | 19 |
| 63.82 | 20 |
| 67.97 | 20 |
| 74.17 | 22 |

Structure:
a = 5.9164 Å, b = 5.8117 Å, c = 5.2525 Å
α = 90.00°, β = 90.00°, γ = 90.00°
Positions (direct):
Zr: 0.0000 0.1246 0.0000
Zr: 0.2492 0.3610 0.5075
Zr: 0.2508 0.6390 0.0075
Zr: 0.5000 0.8754 0.5000
Zr: 0.7492 0.6390 0.0075
Zr: 0.7508 0.3610 0.5075
Co: 0.0000 0.8489 0.5074
Co: 0.5000 0.1511 0.0074
H: 0.0000 0.1171 0.6012
H: 0.0000 0.8199 0.1942
H: 0.2159 0.7027 0.6202
H: 0.2841 0.2973 0.1202
H: 0.5000 0.1801 0.6942
H: 0.5000 0.8829 0.1012
H: 0.7159 0.2973 0.1202
H: 0.7841 0.7027 0.6202


5.
# ZrCo3H3
Simulated powder X-ray diffraction pattern, Cu Kα, 1.54184 Å. Input: a crystal structure in Alexandria, relaxed with GGA-PBE.

Largest 10 diffraction maxima, low angle first, 10 to 90 degrees two-theta:
| 2theta | intensity |
| --- | --- |
| 25.51 | 8 |
| 36.38 | 47 |
| 40.85 | 80 |
| 44.96 | 100 |
| 59.15 | 2 |
| 65.46 | 3 |
| 68.50 | 16 |
| 71.47 | 46 |
| 77.27 | 15 |
| 88.54 | 13 |

Structure:
a = 4.9390 Å, b = 4.9390 Å, c = 4.9390 Å
α = 90.00°, β = 90.00°, γ = 90.00°
Positions (direct):
Zr: 0.0000 0.0000 0.0000
Zr: 0.5000 0.5000 0.5000
Co: 0.0000 0.2500 0.5000
Co: 0.0000 0.7500 0.5000
Co: 0.2500 0.5000 0.0000
Co: 0.5000 0.0000 0.2500
Co: 0.5000 0.0000 0.7500
Co: 0.7500 0.5000 0.0000
H: 0.0000 0.5000 0.2500
H: 0.0000 0.5000 0.7500
H: 0.2500 0.0000 0.5000
H: 0.5000 0.2500 0.0000
H: 0.5000 0.7500 0.0000
H: 0.7500 0.0000 0.5000


6.
# Hf2Co3
Simulated powder X-ray diffraction pattern, Cu Kα, 1.54184 Å. Input: a crystal structure in Alexandria, relaxed with GGA-PBE.

Largest 10 diffraction maxima, low angle first, 10 to 90 degrees two-theta:
| 2theta | intensity |
| --- | --- |
| 24.26 | 22 |
| 33.35 | 94 |
| 35.67 | 21 |
| 38.38 | 100 |
| 43.69 | 52 |
| 44.72 | 25 |
| 45.00 | 55 |
| 62.60 | 16 |
| 63.13 | 19 |
| 65.87 | 20 |

Structure:
a = 4.9940 Å, b = 4.9940 Å, c = 6.8327 Å
α = 90.00°, β = 90.00°, γ = 119.46°
Positions (direct):
Hf: 0.1607 0.8393 0.9028
Hf: 0.3393 0.6607 0.4028
Hf: 0.6607 0.3393 0.5972
Hf: 0.8393 0.1607 0.0972
Co: 0.0000 0.0000 0.5000
Co: 0.1453 0.3547 0.7500
Co: 0.3547 0.1453 0.2500
Co: 0.5000 0.5000 0.0000
Co: 0.6453 0.8547 0.7500
Co: 0.8547 0.6453 0.2500


7.
# Hf4Co
Simulated powder X-ray diffraction pattern, Cu Kα, 1.54184 Å. Input: a crystal structure in Alexandria, relaxed with GGA-PBE.

Largest 10 diffraction maxima, low angle first, 10 to 90 degrees two-theta:
| 2theta | intensity |
| --- | --- |
| 28.74 | 16 |
| 32.42 | 20 |
| 32.54 | 20 |
| 34.90 | 100 |
| 36.44 | 17 |
| 37.00 | 37 |
| 41.26 | 20 |
| 43.84 | 13 |
| 43.98 | 12 |
| 45.35 | 12 |

Structure:
a = 6.4958 Å, b = 6.4791 Å, c = 7.7968 Å
α = 53.16°, β = 52.97°, γ = 73.87°
Positions (direct):
Hf: 0.1568 0.2263 0.0092
Hf: 0.2263 0.1568 0.6077
Hf: 0.2408 0.6423 0.0932
Hf: 0.2994 0.7006 0.4654
Hf: 0.6423 0.2408 0.0237
Hf: 0.7006 0.2994 0.5346
Hf: 0.7154 0.7846 0.5494
Hf: 0.7846 0.7154 0.9506
Co: 0.0955 0.0955 0.4045
Co: 0.8455 0.8455 0.1545


8.
# Hf4Co2Hg
Simulated powder X-ray diffraction pattern, Cu Kα, 1.54184 Å. Input: a crystal structure in Alexandria, relaxed with GGA-PBE.

Largest 10 diffraction maxima, low angle first, 10 to 90 degrees two-theta:
| 2theta | intensity |
| --- | --- |
| 29.81 | 100 |
| 38.52 | 88 |
| 41.93 | 13 |
| 46.50 | 52 |
| 56.21 | 18 |
| 61.92 | 22 |
| 63.83 | 19 |
| 64.38 | 23 |
| 75.85 | 15 |
| 80.84 | 21 |

Structure:
a = 11.0068 Å, b = 11.0068 Å, c = 11.0068 Å
α = 20.44°, β = 20.44°, γ = 20.44°
Positions (direct):
Hf: 0.1029 0.1029 0.1029
Hf: 0.3002 0.3002 0.3002
Hf: 0.6998 0.6998 0.6998
Hf: 0.8971 0.8971 0.8971
Co: 0.4002 0.4002 0.4002
Co: 0.5998 0.5998 0.5998
Hg: 0.5000 0.5000 0.5000


9.
# HfCoTeI2
Simulated powder X-ray diffraction pattern, Cu Kα, 1.54184 Å. Input: a crystal structure in Alexandria, relaxed with GGA-PBE.

Largest 10 diffraction maxima, low angle first, 10 to 90 degrees two-theta:
| 2theta | intensity |
| --- | --- |
| 15.49 | 80 |
| 15.94 | 39 |
| 27.27 | 53 |
| 31.28 | 100 |
| 32.20 | 46 |
| 35.29 | 22 |
| 44.82 | 37 |
| 45.50 | 70 |
| 56.25 | 37 |
| 83.14 | 24 |

Structure:
a = 5.7194 Å, b = 5.7194 Å, c = 5.5602 Å
α = 90.00°, β = 90.00°, γ = 90.00°
Positions (direct):
Hf: 0.0000 0.0000 0.0000
Co: 0.5000 0.5000 0.5000
Te: 0.0000 0.0000 0.5000
I: 0.0000 0.5000 0.0000
I: 0.5000 0.0000 0.0000


10.
# Hf5Co2Ir
Simulated powder X-ray diffraction pattern, Cu Kα, 1.54184 Å. Input: a crystal structure in Alexandria, relaxed with GGA-PBE.

Largest 10 diffraction maxima, low angle first, 10 to 90 degrees two-theta:
| 2theta | intensity |
| --- | --- |
| 31.30 | 23 |
| 32.77 | 41 |
| 36.61 | 100 |
| 38.26 | 64 |
| 38.96 | 21 |
| 39.92 | 11 |
| 43.79 | 55 |
| 57.06 | 17 |
| 66.68 | 22 |
| 72.08 | 15 |

Structure:
a = 8.2022 Å, b = 8.2022 Å, c = 8.2022 Å
α = 133.08°, β = 132.97°, γ = 68.61°
Positions (direct):
Hf: 0.0000 0.0000 0.0000
Hf: 0.0247 0.5246 0.8414
Hf: 0.1832 0.0246 0.4999
Hf: 0.3168 0.8167 0.8414
Hf: 0.4753 0.3167 0.4999
Hf: 0.5000 0.5000 0.0000
Hf: 0.5247 0.6833 0.5001
Hf: 0.6832 0.1833 0.1586
Hf: 0.8168 0.9754 0.5001
Hf: 0.9753 0.4754 0.1586
Co: 0.1318 0.3687 0.5004
Co: 0.3682 0.8687 0.2369
Co: 0.6318 0.1313 0.7631
Co: 0.8682 0.6313 0.4996
Ir: 0.2500 0.2500 0.0000
Ir: 0.7500 0.7500 0.0000


11.
# Hf8CoIr2
Simulated powder X-ray diffraction pattern, Cu Kα, 1.54184 Å. Input: a crystal structure in Alexandria, relaxed with GGA-PBE.

Largest 10 diffraction maxima, low angle first, 10 to 90 degrees two-theta:
| 2theta | intensity |
| --- | --- |
| 31.14 | 23 |
| 34.79 | 47 |
| 35.04 | 58 |
| 36.25 | 100 |
| 37.18 | 24 |
| 39.43 | 58 |
| 39.90 | 17 |
| 42.92 | 17 |
| 69.43 | 16 |
| 70.13 | 15 |

Structure:
a = 8.1484 Å, b = 8.1484 Å, c = 6.2555 Å
α = 98.41°, β = 98.41°, γ = 32.58°
Positions (direct):
Hf: 0.0260 0.0260 0.2525
Hf: 0.1963 0.1963 0.8171
Hf: 0.3389 0.3389 0.5382
Hf: 0.4111 0.4111 0.0513
Hf: 0.5889 0.5889 0.9487
Hf: 0.6610 0.6610 0.4618
Hf: 0.8037 0.8037 0.1829
Hf: 0.9740 0.9740 0.7475
Co: 0.5000 0.5000 0.5000
Ir: 0.2020 0.2020 0.2350
Ir: 0.7980 0.7980 0.7650


12.
# La2HfCo9
Simulated powder X-ray diffraction pattern, Cu Kα, 1.54184 Å. Input: a crystal structure in Alexandria, relaxed with GGA-PBE.

Largest 10 diffraction maxima, low angle first, 10 to 90 degrees two-theta:
| 2theta | intensity |
| --- | --- |
| 32.38 | 57 |
| 35.18 | 53 |
| 36.92 | 53 |
| 42.75 | 100 |
| 43.05 | 41 |
| 63.68 | 16 |
| 65.40 | 18 |
| 67.80 | 19 |
| 70.54 | 21 |
| 78.59 | 21 |

Structure:
a = 8.9936 Å, b = 8.9936 Å, c = 8.9936 Å
α = 31.41°, β = 31.41°, γ = 31.41°
Positions (direct):
La: 0.1385 0.1385 0.1385
La: 0.8615 0.8615 0.8615
Hf: 0.0000 0.0000 0.0000
Co: 0.0788 0.5741 0.5741
Co: 0.3328 0.3328 0.3328
Co: 0.4259 0.4259 0.9212
Co: 0.4259 0.9212 0.4259
Co: 0.5000 0.5000 0.5000
Co: 0.5741 0.0788 0.5741
Co: 0.5741 0.5741 0.0788
Co: 0.6672 0.6672 0.6672
Co: 0.9212 0.4259 0.4259


13.
# HfMgCoRh
Simulated powder X-ray diffraction pattern, Cu Kα, 1.54184 Å. Input: a crystal structure in Alexandria, relaxed with GGA-PBE.

Largest 10 diffraction maxima, low angle first, 10 to 90 degrees two-theta:
| 2theta | intensity |
| --- | --- |
| 24.62 | 44 |
| 28.50 | 1 |
| 40.75 | 100 |
| 48.19 | 23 |
| 58.99 | 17 |
| 64.89 | 9 |
| 66.80 | 1 |
| 74.17 | 33 |
| 79.52 | 7 |
| 88.26 | 11 |

Structure:
a = 6.2633 Å, b = 6.2633 Å, c = 6.2633 Å
α = 90.00°, β = 90.00°, γ = 90.00°
Positions (direct):
Hf: 0.0000 0.0000 0.0000
Hf: 0.0000 0.5000 0.5000
Hf: 0.5000 0.0000 0.5000
Hf: 0.5000 0.5000 0.0000
Mg: 0.0000 0.0000 0.5000
Mg: 0.0000 0.5000 0.0000
Mg: 0.5000 0.0000 0.0000
Mg: 0.5000 0.5000 0.5000
Co: 0.2500 0.2500 0.7500
Co: 0.2500 0.7500 0.2500
Co: 0.7500 0.2500 0.2500
Co: 0.7500 0.7500 0.7500
Rh: 0.2500 0.2500 0.2500
Rh: 0.2500 0.7500 0.7500
Rh: 0.7500 0.2500 0.7500
Rh: 0.7500 0.7500 0.2500


14.
# HfMgCoRh
Simulated powder X-ray diffraction pattern, Cu Kα, 1.54184 Å. Input: a crystal structure in Alexandria, relaxed with GGA-PBE.

Largest 10 diffraction maxima, low angle first, 10 to 90 degrees two-theta:
| 2theta | intensity |
| --- | --- |
| 14.35 | 58 |
| 31.70 | 36 |
| 40.17 | 53 |
| 40.78 | 100 |
| 42.87 | 16 |
| 53.05 | 9 |
| 58.11 | 18 |
| 73.41 | 34 |
| 74.65 | 16 |
| 88.35 | 10 |

Structure:
a = 3.1747 Å, b = 3.1747 Å, c = 6.1705 Å
α = 90.00°, β = 90.00°, γ = 90.00°
Positions (direct):
Hf: 0.0000 0.0000 0.0000
Mg: 0.0000 0.0000 0.5177
Co: 0.5000 0.5000 0.7699
Rh: 0.5000 0.5000 0.2599